Entry 1:
Structure and calculated powder XRD pattern of V3ZnP4O14 (a crystal structure in the Materials Project, relaxed with GGA+U; Cu Kα (λ = 1.5418 Å)).
Neutral-atom scattering factors, no anomalous dispersion.

Cell and atoms:
a = 7.443 Å, b = 7.783 Å, c = 9.537 Å
α = 90.00°, β = 111.54°, γ = 90.00°
Positions (direct):
V 0.000 0.000 0.000
V 0.000 0.500 0.500
V 0.189 0.129 0.524
V 0.189 0.371 0.024
V 0.811 0.629 0.976
V 0.811 0.871 0.476
Zn 0.500 0.000 0.000
Zn 0.500 0.500 0.500
P 0.137 0.709 0.814
P 0.137 0.791 0.314
P 0.408 0.067 0.291
P 0.408 0.433 0.791
P 0.592 0.567 0.209
P 0.592 0.933 0.709
P 0.863 0.209 0.686
P 0.863 0.291 0.186
O 0.018 0.720 0.645
O 0.018 0.780 0.145
O 0.040 0.589 0.893
O 0.040 0.911 0.393
O 0.200 0.620 0.401
O 0.200 0.880 0.901
O 0.281 0.115 0.124
O 0.281 0.385 0.624
O 0.334 0.618 0.823
O 0.334 0.882 0.323
O 0.381 0.195 0.403
O 0.381 0.305 0.903
O 0.390 0.526 0.202
O 0.390 0.974 0.702
O 0.610 0.026 0.298
O 0.610 0.474 0.798
O 0.619 0.695 0.097
O 0.619 0.805 0.597
O 0.666 0.118 0.677
O 0.666 0.382 0.177
O 0.719 0.615 0.376
O 0.719 0.885 0.876
O 0.800 0.120 0.099
O 0.800 0.380 0.599
O 0.960 0.089 0.607
O 0.960 0.411 0.107
O 0.982 0.220 0.855
O 0.982 0.280 0.355

Top 6 peaks for 10 to 90 degrees two-theta, most intense first:
d_spacing, Rel. int.
2.991, 100.0
3.116, 62.8
2.490, 43.0
2.648, 41.6
2.706, 38.0
3.393, 37.9

Entry 2:
Structure and calculated powder XRD pattern of P2WO7 (a crystal structure in the Materials Project, relaxed with GGA+U; Cu Kα (λ = 1.5418 Å)).
Neutral-atom scattering factors, no anomalous dispersion.

Cell and atoms:
a = 8.417 Å, b = 8.417 Å, c = 8.417 Å
α = 90.00°, β = 90.00°, γ = 90.00°
Positions (direct):
P 0.109 0.109 0.109
P 0.109 0.391 0.609
P 0.391 0.609 0.109
P 0.391 0.891 0.609
P 0.609 0.109 0.391
P 0.609 0.391 0.891
P 0.891 0.609 0.391
P 0.891 0.891 0.891
W 0.000 0.000 0.500
W 0.000 0.500 0.000
W 0.500 0.000 0.000
W 0.500 0.500 0.500
O 0.000 0.000 0.000
O 0.000 0.500 0.500
O 0.055 0.221 0.587
O 0.055 0.279 0.087
O 0.087 0.055 0.279
O 0.087 0.445 0.779
O 0.221 0.587 0.055
O 0.221 0.913 0.555
O 0.279 0.087 0.055
O 0.279 0.413 0.555
O 0.413 0.555 0.279
O 0.413 0.945 0.779
O 0.445 0.721 0.587
O 0.445 0.779 0.087
O 0.500 0.000 0.500
O 0.500 0.500 0.000
O 0.555 0.221 0.913
O 0.555 0.279 0.413
O 0.587 0.055 0.221
O 0.587 0.445 0.721
O 0.721 0.587 0.445
O 0.721 0.913 0.945
O 0.779 0.087 0.445
O 0.779 0.413 0.945
O 0.913 0.555 0.221
O 0.913 0.945 0.721
O 0.945 0.721 0.913
O 0.945 0.779 0.413

Top 6 peaks for 10 to 90 degrees two-theta, most intense first:
d_spacing, Rel. int.
4.208, 100.0
4.860, 80.7
2.538, 62.7
2.976, 50.3
1.882, 36.4
1.620, 31.5

Entry 3:
Structure and calculated powder XRD pattern of PWO5 (a crystal structure in the Materials Project, relaxed with GGA+U; Cu Kα (λ = 1.5418 Å)).
Neutral-atom scattering factors, no anomalous dispersion.

Cell and atoms:
a = 10.352 Å, b = 9.083 Å, c = 7.115 Å
α = 78.41°, β = 59.27°, γ = 42.32°
Positions (direct):
P 0.089 0.089 0.661
P 0.339 0.339 0.911
P 0.661 0.661 0.089
P 0.911 0.911 0.339
W 0.000 0.500 0.500
W 0.500 0.000 0.500
W 0.500 0.500 0.000
W 0.500 0.500 0.500
O 0.063 0.229 0.485
O 0.135 0.437 0.156
O 0.156 0.772 0.135
O 0.228 0.844 0.563
O 0.229 0.063 0.723
O 0.277 0.515 0.771
O 0.293 0.293 0.457
O 0.437 0.135 0.772
O 0.457 0.457 0.293
O 0.485 0.723 0.063
O 0.515 0.277 0.937
O 0.543 0.543 0.707
O 0.563 0.865 0.228
O 0.707 0.707 0.543
O 0.723 0.485 0.229
O 0.771 0.937 0.277
O 0.772 0.156 0.437
O 0.844 0.228 0.865
O 0.865 0.563 0.844
O 0.937 0.771 0.515

Top 6 peaks for 10 to 90 degrees two-theta, most intense first:
d_spacing, Rel. int.
5.823, 100.0
2.912, 63.8
2.996, 34.3
4.169, 33.8
3.479, 31.2
2.939, 29.9